This entry pairs a crystal structure of V3NiP2 with its calculated powder XRD pattern. Radiation: Cu Kα, 1.54184 Å. Structure: a cell relaxed with PBE.
Kinematic intensities with the Lorentz-polarization factor, no thermal factor.

Cell and atoms:
```
V3NiP2
1.0
6.141 0.000 0.000
0.000 3.325 0.000
-0.054 0.000 10.683
V Ni P
9 3 6
direct
0.000 0.000 0.000 V
0.001 0.000 0.744 V
0.233 0.500 0.372 V
0.321 0.500 0.666 V
0.325 0.500 0.086 V
0.503 0.000 0.252 V
0.731 0.500 0.871 V
0.824 0.500 0.166 V
0.833 0.500 0.580 V
0.386 0.000 0.872 Ni
0.494 0.000 0.501 Ni
0.888 0.000 0.371 Ni
0.121 0.000 0.211 P
0.127 0.000 0.534 P
0.146 0.500 0.872 P
0.618 0.000 0.703 P
0.620 0.000 0.036 P
0.641 0.500 0.386 P
```

The 6 most intense peaks (15° ≤ 2θ ≤ 90°), by angle:
h k l	2theta	Rel. int.
1 1 -3	39.9	100
2 1 0	40.0	59
2 1 -2	43.5	69
2 1 2	43.6	33
2 0 4	45.1	28
0 2 0	55.3	32

---

This entry pairs a crystal structure of Eu2SiO4 with its calculated powder XRD pattern. Radiation: Cu Kα, 1.54184 Å. Structure: a cell relaxed with PBE.
Kinematic intensities with the Lorentz-polarization factor, no thermal factor.

Cell and atoms:
```
Eu2SiO4
1.0
5.721 0.000 0.000
0.000 7.122 0.000
-5.117 0.000 9.781
Eu Si O
8 4 16
direct
0.026 0.001 0.302 Eu
0.026 0.499 0.802 Eu
0.311 0.659 0.575 Eu
0.311 0.841 0.075 Eu
0.689 0.159 0.925 Eu
0.689 0.341 0.425 Eu
0.974 0.501 0.198 Eu
0.974 0.999 0.698 Eu
0.340 0.221 0.582 Si
0.340 0.279 0.082 Si
0.660 0.721 0.918 Si
0.660 0.779 0.418 Si
0.148 0.176 0.137 O
0.148 0.324 0.637 O
0.255 0.183 0.929 O
0.255 0.317 0.429 O
0.286 0.506 0.067 O
0.286 0.994 0.567 O
0.346 0.736 0.317 O
0.346 0.764 0.817 O
0.654 0.236 0.183 O
0.654 0.264 0.683 O
0.714 0.006 0.433 O
0.714 0.494 0.933 O
0.745 0.683 0.571 O
0.745 0.817 0.071 O
0.852 0.676 0.363 O
0.852 0.824 0.863 O
```

The 6 most intense peaks (15° ≤ 2θ ≤ 90°), by angle:
h k l	2theta	Rel. int.
1 1 -3	27.7	41
1 0 2	30.7	100
0 2 2	31.1	31
2 0 -2	31.3	98
1 0 -4	32.5	35
0 3 1	39.0	43

---

This entry pairs a crystal structure of BaH3IO6 with its calculated powder XRD pattern. Radiation: Cu Kα, 1.54184 Å. Structure: a cell relaxed with PBE.
Kinematic intensities with the Lorentz-polarization factor, no thermal factor.

Cell and atoms:
```
BaH3IO6
1.0
5.077 0.000 0.000
-0.536 5.058 0.000
-0.887 -0.810 4.979
Ba H I O
1 3 1 6
direct
0.000 0.000 0.000 Ba
0.060 0.351 0.609 H
0.397 0.643 0.932 H
0.648 0.940 0.378 H
0.506 0.485 0.485 I
0.211 0.242 0.572 O
0.254 0.581 0.220 O
0.418 0.747 0.781 O
0.569 0.200 0.245 O
0.757 0.792 0.436 O
0.787 0.425 0.745 O
```

The 6 most intense peaks (15° ≤ 2θ ≤ 90°), by angle:
h k l	2theta	Rel. int.
1 0 -1	22.8	100
0 1 -1	23.1	97
1 -1 0	23.6	92
1 1 0	27.0	63
0 1 1	27.3	61
1 0 1	27.7	59

---

This entry pairs a crystal structure of Lu2Ti12Cu9O36 with its calculated powder XRD pattern. Radiation: Cu Kα, 1.54184 Å. Structure: a cell relaxed with PBE.
Kinematic intensities with the Lorentz-polarization factor, no thermal factor.

Cell and atoms:
```
Lu2Ti12Cu9O36
1.0
10.490 0.000 0.000
-5.245 9.085 0.000
0.000 0.000 6.439
Lu Ti Cu O
2 12 9 36
direct
0.333 0.667 0.327 Lu
0.667 0.333 0.673 Lu
0.000 0.000 0.500 Ti
0.000 0.500 0.500 Ti
0.158 0.320 0.163 Ti
0.161 0.842 0.163 Ti
0.320 0.161 0.837 Ti
0.333 0.667 0.841 Ti
0.500 0.000 0.500 Ti
0.500 0.500 0.500 Ti
0.667 0.333 0.159 Ti
0.680 0.839 0.163 Ti
0.839 0.158 0.837 Ti
0.842 0.680 0.837 Ti
0.000 0.500 0.000 Cu
0.168 0.337 0.661 Cu
0.169 0.832 0.661 Cu
0.337 0.169 0.339 Cu
0.500 0.000 0.000 Cu
0.500 0.500 0.000 Cu
0.663 0.831 0.661 Cu
0.831 0.168 0.339 Cu
0.832 0.663 0.339 Cu
0.017 0.165 0.330 O
0.045 0.270 0.911 O
0.078 0.453 0.251 O
0.120 0.707 0.413 O
0.148 0.983 0.330 O
0.165 0.148 0.670 O
0.177 0.527 0.645 O
0.193 0.683 0.020 O
0.226 0.955 0.911 O
0.270 0.226 0.089 O
0.293 0.413 0.413 O
0.317 0.511 0.020 O
0.350 0.823 0.645 O
0.374 0.922 0.251 O
0.413 0.120 0.587 O
0.453 0.374 0.749 O
0.473 0.650 0.645 O
0.489 0.807 0.020 O
0.511 0.193 0.980 O
0.527 0.350 0.355 O
0.547 0.626 0.251 O
0.587 0.880 0.413 O
0.626 0.078 0.749 O
0.650 0.177 0.355 O
0.683 0.489 0.980 O
0.707 0.587 0.587 O
0.730 0.774 0.911 O
0.774 0.045 0.089 O
0.807 0.317 0.980 O
0.823 0.473 0.355 O
0.835 0.852 0.330 O
0.852 0.017 0.670 O
0.880 0.293 0.587 O
0.922 0.547 0.749 O
0.955 0.730 0.089 O
0.983 0.835 0.670 O
```

The 6 most intense peaks (15° ≤ 2θ ≤ 90°), by angle:
h k l	2theta	Rel. int.
1 0 1	16.9	10
0 2 2	34.2	100
4 0 2	49.1	27
2 0 4	61.1	12
2 4 2	61.2	36
6 -2 4	82.1	16

---

This entry pairs a crystal structure of Mg3Si2 with its calculated powder XRD pattern. Radiation: Cu Kα, 1.54184 Å. Structure: a cell relaxed with PBE.
Kinematic intensities with the Lorentz-polarization factor, no thermal factor.

Cell and atoms:
```
Mg3Si2
1.0
4.280 0.000 0.000
-2.080 4.810 0.000
-1.968 -1.639 4.723
Mg Si
3 2
direct
0.000 0.000 0.000 Mg
0.498 0.706 0.293 Mg
0.502 0.294 0.707 Mg
0.221 0.706 0.710 Si
0.779 0.294 0.290 Si
```

The 6 most intense peaks (15° ≤ 2θ ≤ 90°), by angle:
h k l	2theta	Rel. int.
1 -1 1	33.5	48
1 0 -2	34.7	100
1 -2 0	35.2	56
1 -2 1	39.7	43
-1 1 2	40.1	56
-2 1 1	42.3	70

---

This entry pairs a crystal structure of Nb2CdO6 with its calculated powder XRD pattern. Radiation: Cu Kα, 1.54184 Å. Structure: a cell relaxed with PBE.
Kinematic intensities with the Lorentz-polarization factor, no thermal factor.

Cell and atoms:
```
Nb2CdO6
1.0
15.047 0.000 0.000
0.000 5.962 0.000
0.000 0.000 5.231
Nb Cd O
8 4 24
direct
0.165 0.182 0.209 Nb
0.165 0.818 0.709 Nb
0.335 0.318 0.709 Nb
0.335 0.682 0.209 Nb
0.665 0.318 0.791 Nb
0.665 0.682 0.291 Nb
0.835 0.182 0.291 Nb
0.835 0.818 0.791 Nb
0.000 0.298 0.750 Cd
0.000 0.702 0.250 Cd
0.500 0.202 0.250 Cd
0.500 0.798 0.750 Cd
0.087 0.391 0.089 O
0.087 0.609 0.589 O
0.102 0.087 0.517 O
0.102 0.913 0.017 O
0.243 0.136 0.879 O
0.243 0.864 0.379 O
0.257 0.364 0.379 O
0.257 0.636 0.879 O
0.398 0.413 0.017 O
0.398 0.587 0.517 O
0.413 0.109 0.589 O
0.413 0.891 0.089 O
0.587 0.109 0.911 O
0.587 0.891 0.411 O
0.602 0.413 0.483 O
0.602 0.587 0.983 O
0.743 0.364 0.121 O
0.743 0.636 0.621 O
0.757 0.136 0.621 O
0.757 0.864 0.121 O
0.898 0.087 0.983 O
0.898 0.913 0.483 O
0.913 0.391 0.411 O
0.913 0.609 0.911 O
```

The 6 most intense peaks (15° ≤ 2θ ≤ 90°), by angle:
h k l	2theta	Rel. int.
3 1 0	23.2	18
3 1 1	28.9	100
0 2 0	30.0	12
6 0 2	50.4	14
6 2 1	50.7	16
9 1 1	60.1	12

---

This entry pairs a crystal structure of Sr4BiO7 with its calculated powder XRD pattern. Radiation: Cu Kα, 1.54184 Å. Structure: a cell relaxed with PBE.
Kinematic intensities with the Lorentz-polarization factor, no thermal factor.

Cell and atoms:
```
Sr4BiO7
1.0
7.049 0.000 0.000
0.000 6.188 0.000
-1.840 0.000 9.241
Sr Bi O
8 2 14
direct
0.008 0.000 0.389 Sr
0.111 0.506 0.075 Sr
0.409 0.507 0.441 Sr
0.489 0.534 0.874 Sr
0.511 0.034 0.126 Sr
0.591 0.007 0.559 Sr
0.889 0.006 0.925 Sr
0.992 0.500 0.611 Sr
0.244 0.015 0.754 Bi
0.756 0.515 0.246 Bi
0.058 0.553 0.338 O
0.184 0.760 0.895 O
0.213 0.236 0.921 O
0.262 0.795 0.583 O
0.313 0.282 0.627 O
0.317 0.066 0.313 O
0.456 0.476 0.162 O
0.544 0.976 0.838 O
0.683 0.566 0.687 O
0.687 0.782 0.373 O
0.738 0.295 0.417 O
0.787 0.736 0.079 O
0.816 0.260 0.105 O
0.942 0.053 0.662 O
```

The 6 most intense peaks (15° ≤ 2θ ≤ 90°), by angle:
h k l	2theta	Rel. int.
0 1 1	17.2	32
0 2 0	28.9	45
1 1 2	29.1	100
2 1 -1	29.5	50
1 1 -4	41.4	42
1 2 -3	41.6	33